Entry 1:
For La2CdSe2O2, a GGA-PBE-relaxed structure gives the calculated PXRD pattern in this record (Cu Kα (weighted mean of Kα1 and Kα2)).
No peak broadening, texture or thermal motion is included.

Atomic structure:
```
La2CdSe2O2
1.0
4.0929 0.0000 0.0000
0.0000 4.0929 0.0000
0.0000 0.0000 18.9026
La Cd Se O
4 2 4 4
Direct
0.0000 0.0000 0.0000
0.0000 0.0000 0.5000
0.5000 0.5000 0.1290
0.5000 0.5000 0.6290
0.0000 0.5000 0.3170
0.5000 0.0000 0.8170
0.0000 0.0000 0.2239
0.0000 0.0000 0.7239
0.5000 0.5000 0.4100
0.5000 0.5000 0.9100
0.0000 0.5000 0.0649
0.0000 0.5000 0.5644
0.5000 0.0000 0.0644
0.5000 0.0000 0.5649
```

Top 8 peaks for 10° ≤ 2θ ≤ 90°, by angle:
Position (°2θ)  Rel. int.
28.9  100
30.9  22
32.4  21
36.0  20
36.4  27
44.3  41
49.8  26
53.7  35

---

Entry 2:
For LaCdPd, a GGA-PBE-relaxed structure gives the calculated PXRD pattern in this record (Cu Kα (weighted mean of Kα1 and Kα2)).
No peak broadening, texture or thermal motion is included.

Atomic structure:
```
LaCdPd
1.0
7.8432 0.0000 0.0000
-3.9216 6.7924 0.0000
0.0000 0.0000 4.1339
La Cd Pd
3 3 3
Direct
0.0000 0.5916 0.0000
0.4084 0.4084 0.0000
0.5916 0.0000 0.0000
0.0000 0.2485 0.5000
0.2485 0.0000 0.5000
0.7515 0.7515 0.5000
0.0000 0.0000 0.0000
0.3333 0.6667 0.5000
0.6667 0.3333 0.5000
```

Top 8 peaks for 10° ≤ 2θ ≤ 90°, by angle:
Position (°2θ)  Rel. int.
31.4  100
34.2  96
34.9  53
39.8  35
41.4  30
43.8  28
57.2  25
63.8  32

---

Entry 3:
For La4CdPd, a GGA-PBE-relaxed structure gives the calculated PXRD pattern in this record (Cu Kα (weighted mean of Kα1 and Kα2)).
No peak broadening, texture or thermal motion is included.

Atomic structure:
```
La4CdPd
1.0
0.0000 7.2300 7.2300
7.2300 0.0000 7.2300
7.2300 7.2300 0.0000
La Cd Pd
16 4 4
Direct
0.1857 0.1857 0.8143
0.1857 0.8143 0.1857
0.1857 0.8143 0.8143
0.4003 0.4003 0.4003
0.4003 0.4003 0.7991
0.4003 0.7991 0.4003
0.5580 0.5580 0.9420
0.5580 0.9420 0.5580
0.5580 0.9420 0.9420
0.7991 0.4003 0.4003
0.8143 0.1857 0.1857
0.8143 0.1857 0.8143
0.8143 0.8143 0.1857
0.9420 0.5580 0.5580
0.9420 0.5580 0.9420
0.9420 0.9420 0.5580
0.1696 0.1696 0.1696
0.1696 0.1696 0.4913
0.1696 0.4913 0.1696
0.4913 0.1696 0.1696
0.1772 0.6076 0.6076
0.6076 0.1772 0.6076
0.6076 0.6076 0.1772
0.6076 0.6076 0.6076
```

Top 8 peaks for 10° ≤ 2θ ≤ 90°, by angle:
Position (°2θ)  Rel. int.
26.9  20
30.3  47
32.2  100
35.1  32
53.8  45
55.0  14
64.1  16
80.5  13